Structure and computed X-ray powder pattern of CePd3Pt6 (a DFT-relaxed cell (PBE, Alexandria); copper Kα).
Neutral-atom scattering factors, no anomalous dispersion.

Largest 6 diffraction maxima, by angle, 5° ≤ 2θ ≤ 70°:
38.46°, I = 100
44.43°, I = 16
44.62°, I = 17
45.07°, I = 16
64.79°, I = 11
65.28°, I = 15

Structural model:
Cell: 9.010 4.061 9.105 Å, 90.00 90.53 90.00°
Space group P2_1/m (No. 11)
One atom of each set of equivalent atoms:
Ce 0.066 0.250 0.383 x2
Pd 0.254 0.250 0.002 x2
Pd 0.346 0.750 0.807 x2
Pd 0.448 0.250 0.605 x2
Pt 0.048 0.750 0.907 x2
Pt 0.148 0.250 0.709 x2
Pt 0.163 0.750 0.198 x2
Pt 0.257 0.750 0.509 x2
Pt 0.364 0.250 0.299 x2
Pt 0.455 0.750 0.098 x2